# 1
Diffraction record for LaNd2Ge6. The XRD peak list is calculated, not measured: it uses a cell relaxed with PBE and Cu Kα X-rays.

Largest 10 diffraction maxima, by angle, 5° ≤ 2θ ≤ 70°:
d_spacing  2theta  Rel. int.  hkl
3.853  23.09  10.4  1 1 0
2.814  31.79  100.0  1 1 1
2.224  40.56  46.6  3 0 0
2.061  43.94  12.3  0 0 2
1.926  47.18  1.6  2 2 0
1.817  50.21  2.6  1 1 2
1.745  52.43  24.2  2 2 1
1.512  61.32  27.1  3 0 2
1.456  63.93  1.3  4 1 0
1.373  68.32  21.6  4 1 1

Structural model:
a = 7.705 Å, b = 7.705 Å, c = 4.121 Å
α = 90.00°, β = 90.00°, γ = 120.00°
Fractional positions:
La: 0.000 0.000 0.000
Nd: 0.333 0.667 0.000
Nd: 0.667 0.333 0.000
Ge: 0.000 0.335 0.500
Ge: 0.000 0.665 0.500
Ge: 0.335 0.000 0.500
Ge: 0.335 0.335 0.500
Ge: 0.665 0.000 0.500
Ge: 0.665 0.665 0.500

***

# 2
Diffraction record for Sr9Cl14O2. The XRD peak list is calculated, not measured: it uses a cell relaxed with PBE and Cu Kα X-rays.

Largest 10 diffraction maxima, by angle, 5° ≤ 2θ ≤ 70°:
d_spacing  2theta  Rel. int.  hkl
6.169  14.36  29.0  0 1 1
3.946  22.53  100.0  2 -1 1
3.901  22.79  37.5  0 0 3
3.084  28.95  17.3  0 2 2
2.744  32.64  26.6  1 2 0
2.714  33.01  18.7  0 1 4
2.671  33.55  31.3  3 -1 1
2.420  37.16  50.2  3 0 0
2.399  37.49  58.1  2 -1 4
2.244  40.18  29.2  1 2 3

Structural model:
a = 8.382 Å, b = 8.382 Å, c = 11.704 Å
α = 90.00°, β = 90.00°, γ = 120.00°
Fractional positions:
Sr: 0.000 0.000 0.000
Sr: 0.082 0.376 0.337
Sr: 0.294 0.918 0.337
Sr: 0.333 0.667 0.058
Sr: 0.376 0.294 0.663
Sr: 0.624 0.706 0.337
Sr: 0.667 0.333 0.942
Sr: 0.706 0.082 0.663
Sr: 0.918 0.624 0.663
Cl: 0.000 0.000 0.256
Cl: 0.000 0.000 0.744
Cl: 0.038 0.676 0.906
Cl: 0.079 0.391 0.596
Cl: 0.312 0.921 0.596
Cl: 0.324 0.362 0.906
Cl: 0.362 0.038 0.094
Cl: 0.391 0.312 0.404
Cl: 0.609 0.688 0.596
Cl: 0.638 0.962 0.906
Cl: 0.676 0.638 0.094
Cl: 0.688 0.079 0.404
Cl: 0.921 0.609 0.404
Cl: 0.962 0.324 0.094
O: 0.333 0.667 0.266
O: 0.667 0.333 0.734

***

# 3
Diffraction record for TaPtW2. The XRD peak list is calculated, not measured: it uses a cell relaxed with PBE and Cu Kα X-rays.

Largest 6 diffraction maxima, by angle, 5° ≤ 2θ ≤ 70°:
d_spacing  2theta  Rel. int.  hkl
2.338  38.51  55.8  0 2 0
2.276  39.59  51.5  1 0 1
2.253  40.02  100.0  0 1 2
2.240  40.27  98.7  1 1 -1
1.631  56.42  37.2  1 2 1
1.549  59.69  15.7  1 0 -3

Structural model:
a = 2.743 Å, b = 4.675 Å, c = 5.192 Å
α = 90.00°, β = 97.91°, γ = 90.00°
Fractional positions:
Ta: 0.000 0.000 0.000
Pt: 0.500 0.000 0.500
W: 0.255 0.500 0.757
W: 0.745 0.500 0.243